[1]
Starting from a structure optimized by DFT (PBE), the powder X-ray diffraction pattern of Ce6HgPb2C was computed for λ = 1.5418 Å (Cu Kα).
Intensities are scaled so that the largest is 100.

Largest 12 diffraction maxima, in order of rising 2θ, 2θ from 10° to 90°:
- d = 3.808 Å, 23.4 deg, I 21
- d = 3.125 Å, 28.6 deg, I 100
- d = 2.733 Å, 32.8 deg, I 73
- d = 2.654 Å, 33.8 deg, I 30
- d = 2.220 Å, 40.6 deg, I 10
- d = 1.933 Å, 47.0 deg, I 27
- d = 1.904 Å, 47.8 deg, I 45
- d = 1.644 Å, 55.9 deg, I 31
- d = 1.562 Å, 59.1 deg, I 24
- d = 1.222 Å, 78.2 deg, I 12
- d = 1.215 Å, 78.8 deg, I 11
- d = 1.110 Å, 88.0 deg, I 16

Structure:
```
Ce6HgPb2C
1.0
5.4665 0.0000 0.0000
0.0000 5.4665 0.0000
0.0000 0.0000 10.6158
Ce Hg Pb C
6 1 2 1
direct
0.0000 0.0000 0.2177
0.0000 0.0000 0.7823
0.0000 0.5000 0.0000
0.0000 0.5000 0.5000
0.5000 0.0000 0.0000
0.5000 0.0000 0.5000
0.0000 0.0000 0.5000
0.5000 0.5000 0.2421
0.5000 0.5000 0.7579
0.0000 0.0000 0.0000
```

[2]
Starting from a structure optimized by DFT (PBE), the powder X-ray diffraction pattern of CsBa2OsO5 was computed for λ = 1.5418 Å (Cu Kα).
Intensities are scaled so that the largest is 100.

Largest 12 diffraction maxima, in order of rising 2θ, 2θ from 10° to 90°:
- d = 5.880 Å, 15.1 deg, I 14
- d = 3.360 Å, 26.5 deg, I 33
- d = 3.036 Å, 29.4 deg, I 19
- d = 2.989 Å, 29.9 deg, I 100
- d = 2.253 Å, 40.0 deg, I 27
- d = 1.998 Å, 45.4 deg, I 11
- d = 1.860 Å, 49.0 deg, I 25
- d = 1.744 Å, 52.5 deg, I 14
- d = 1.717 Å, 53.3 deg, I 10
- d = 1.495 Å, 62.1 deg, I 14
- d = 1.406 Å, 66.5 deg, I 7
- d = 1.277 Å, 74.2 deg, I 8

Structure:
```
CsBa2OsO5
1.0
-1.9980 3.3601 6.0719
1.9980 -3.3601 6.0719
1.9980 3.3601 -6.0719
Cs Ba Os O
1 2 1 5
direct
0.0000 0.0000 0.0000
0.2755 0.7755 0.5000
0.7245 0.2245 0.5000
0.5000 0.5000 0.0000
0.1735 0.3773 0.7962
0.4189 0.6227 0.7962
0.5000 0.0000 0.5000
0.5811 0.3773 0.2038
0.8265 0.6227 0.2038
```

[3]
Starting from a structure optimized by DFT (PBE), the powder X-ray diffraction pattern of Er2H5 was computed for λ = 1.5418 Å (Cu Kα).
Intensities are scaled so that the largest is 100.

Largest 12 diffraction maxima, in order of rising 2θ, 2θ from 10° to 90°:
- d = 2.935 Å, 30.5 deg, I 100
- d = 2.642 Å, 33.9 deg, I 18
- d = 2.622 Å, 34.2 deg, I 18
- d = 2.386 Å, 37.7 deg, I 14
- d = 1.861 Å, 48.9 deg, I 13
- d = 1.771 Å, 51.6 deg, I 12
- d = 1.765 Å, 51.8 deg, I 12
- d = 1.576 Å, 58.6 deg, I 15
- d = 1.568 Å, 58.9 deg, I 15
- d = 1.468 Å, 63.4 deg, I 12
- d = 1.463 Å, 63.6 deg, I 12
- d = 1.149 Å, 84.3 deg, I 8

Structure:
```
Er2H5
1.0
-2.6423 5.2442 2.3865
2.6423 -5.2442 2.3865
2.6423 5.2442 -2.3865
Er H
4 10
direct
0.1192 0.2344 0.3535
0.3808 0.7344 0.1152
0.6192 0.2656 0.8848
0.8808 0.7656 0.6465
0.0062 0.7500 0.2562
0.0843 0.8336 0.9178
0.2500 0.7500 0.5000
0.4157 0.3336 0.7493
0.4938 0.7500 0.7438
0.5062 0.2500 0.2562
0.5843 0.6664 0.2507
0.7500 0.2500 0.5000
0.9157 0.1664 0.0822
0.9938 0.2500 0.7438
```

[4]
Starting from a structure optimized by DFT (PBE), the powder X-ray diffraction pattern of In2Ag3Au was computed for λ = 1.5418 Å (Cu Kα).
Intensities are scaled so that the largest is 100.

Largest 12 diffraction maxima, in order of rising 2θ, 2θ from 10° to 90°:
- d = 2.479 Å, 36.2 deg, I 100
- d = 2.465 Å, 36.5 deg, I 98
- d = 2.188 Å, 41.3 deg, I 36
- d = 2.148 Å, 42.1 deg, I 32
- d = 2.089 Å, 43.3 deg, I 30
- d = 1.533 Å, 60.4 deg, I 21
- d = 1.511 Å, 61.4 deg, I 22
- d = 1.313 Å, 71.9 deg, I 13
- d = 1.311 Å, 72.1 deg, I 13
- d = 1.297 Å, 72.9 deg, I 12
- d = 1.291 Å, 73.3 deg, I 11
- d = 1.271 Å, 74.7 deg, I 12

Structure:
```
In2Ag3Au
1.0
4.1775 0.0000 0.0000
0.0000 4.3768 0.0000
-2.0333 0.0000 6.4444
In Ag Au
2 3 1
direct
0.1581 0.0000 0.3170
0.8419 0.0000 0.6830
0.0000 0.5000 0.0000
0.3327 0.5000 0.6654
0.6673 0.5000 0.3346
0.5000 0.0000 0.0000
```

[5]
Starting from a structure optimized by DFT (PBE), the powder X-ray diffraction pattern of NbBiO4 was computed for λ = 1.5418 Å (Cu Kα).
Intensities are scaled so that the largest is 100.

Largest 12 diffraction maxima, in order of rising 2θ, 2θ from 10° to 90°:
- d = 4.052 Å, 21.9 deg, I 42
- d = 3.815 Å, 23.3 deg, I 100
- d = 2.895 Å, 30.9 deg, I 38
- d = 2.806 Å, 31.9 deg, I 18
- d = 2.749 Å, 32.6 deg, I 27
- d = 2.585 Å, 34.7 deg, I 17
- d = 2.515 Å, 35.7 deg, I 12
- d = 2.103 Å, 43.0 deg, I 23
- d = 2.025 Å, 44.7 deg, I 17
- d = 1.917 Å, 47.4 deg, I 16
- d = 1.880 Å, 48.4 deg, I 16
- d = 1.844 Å, 49.4 deg, I 15

Structure:
```
NbBiO4
1.0
3.0477 -2.9284 0.0000
3.0477 2.9284 0.0000
-2.3305 0.0000 5.4970
Nb Bi O
1 1 4
direct
0.0000 0.0000 0.0000
0.3552 0.6448 0.5000
0.0533 0.4585 0.0493
0.2230 0.0679 0.3503
0.5415 0.9467 0.9507
0.9321 0.7770 0.6497
```

[6]
Starting from a structure optimized by DFT (PBE), the powder X-ray diffraction pattern of Pm5Nd6Tm2 was computed for λ = 1.5418 Å (Cu Kα).
Intensities are scaled so that the largest is 100.

Largest 12 diffraction maxima, in order of rising 2θ, 2θ from 10° to 90°:
- d = 3.347 Å, 26.6 deg, I 13
- d = 2.917 Å, 30.6 deg, I 49
- d = 2.900 Å, 30.8 deg, I 100
- d = 2.865 Å, 31.2 deg, I 14
- d = 2.833 Å, 31.6 deg, I 89
- d = 2.668 Å, 33.6 deg, I 35
- d = 2.609 Å, 34.4 deg, I 14
- d = 2.495 Å, 36.0 deg, I 36
- d = 1.823 Å, 50.0 deg, I 18
- d = 1.795 Å, 50.9 deg, I 12
- d = 1.546 Å, 59.8 deg, I 15
- d = 1.543 Å, 59.9 deg, I 15

Structure:
```
Pm5Nd6Tm2
1.0
11.7828 0.0000 0.0000
0.0000 20.9453 0.0000
0.0000 0.0000 3.6453
Pm Nd Tm
10 12 4
direct
0.0000 0.0000 0.0000
0.0878 0.2725 0.0000
0.1969 0.5549 0.0000
0.3031 0.0549 0.0000
0.4122 0.7725 0.0000
0.5000 0.5000 0.0000
0.5878 0.2275 0.0000
0.6969 0.9451 0.0000
0.8031 0.4451 0.0000
0.9122 0.7275 0.0000
0.0629 0.4189 0.5000
0.0835 0.1316 0.5000
0.1732 0.8605 0.0000
0.3268 0.3605 0.0000
0.4165 0.6316 0.5000
0.4371 0.9189 0.5000
0.5629 0.0811 0.5000
0.5835 0.3684 0.5000
0.6732 0.6395 0.0000
0.8268 0.1395 0.0000
0.9165 0.8684 0.5000
0.9371 0.5811 0.5000
0.1686 0.7096 0.5000
0.3314 0.2096 0.5000
0.6686 0.7904 0.5000
0.8314 0.2904 0.5000
```

Copy entry 5 word for word.
Starting from a structure optimized by DFT (PBE), the powder X-ray diffraction pattern of NbBiO4 was computed for λ = 1.5418 Å (Cu Kα).
Intensities are scaled so that the largest is 100.

Largest 12 diffraction maxima, in order of rising 2θ, 2θ from 10° to 90°:
- d = 4.052 Å, 21.9 deg, I 42
- d = 3.815 Å, 23.3 deg, I 100
- d = 2.895 Å, 30.9 deg, I 38
- d = 2.806 Å, 31.9 deg, I 18
- d = 2.749 Å, 32.6 deg, I 27
- d = 2.585 Å, 34.7 deg, I 17
- d = 2.515 Å, 35.7 deg, I 12
- d = 2.103 Å, 43.0 deg, I 23
- d = 2.025 Å, 44.7 deg, I 17
- d = 1.917 Å, 47.4 deg, I 16
- d = 1.880 Å, 48.4 deg, I 16
- d = 1.844 Å, 49.4 deg, I 15

Structure:
```
NbBiO4
1.0
3.0477 -2.9284 0.0000
3.0477 2.9284 0.0000
-2.3305 0.0000 5.4970
Nb Bi O
1 1 4
direct
0.0000 0.0000 0.0000
0.3552 0.6448 0.5000
0.0533 0.4585 0.0493
0.2230 0.0679 0.3503
0.5415 0.9467 0.9507
0.9321 0.7770 0.6497
```